This entry pairs a crystal structure of Ce2PuInN5 with its computed X-ray powder pattern. Radiation: Cu Kα. Structure: a PBE-relaxed structure.
Neutral-atom scattering factors, no anomalous dispersion.

Largest 12 diffraction maxima, low angle first, 5 to 70 degrees two-theta:
2θ (°)	I/Imax	hkl
12.67	186	0 2 0
27.33	338	1 1 1
30.11	1000	0 4 2
30.66	404	1 1 2
31.86	847	0 0 4
32.89	208	1 3 1
35.59	368	1 1 3
45.68	321	1 3 4
52.01	157	2 0 0
55.38	289	1 7 2
55.65	174	0 4 6
61.28	273	2 4 2

Structure:
```
data_Ce2PuInN5
_chemical_formula_sum 'Ce8 Pu4 In4 N20'
_symmetry_space_group_name_H-M 'C m c 21'
_symmetry_Int_Tables_number 36
_cell_length_a 3.5164
_cell_length_b 13.9754
_cell_length_c 11.2448
_cell_angle_alpha 90.00
_cell_angle_beta 90.00
_cell_angle_gamma 90.00
loop_
_symmetry_equiv_pos_as_xyz
'x,y,z'
'-x,-y,z+1/2'
'-x,y,z'
'x,-y,z+1/2'
'x+1/2,y+1/2,z'
'-x+1/2,-y+1/2,z+1/2'
'-x+1/2,y+1/2,z'
'x+1/2,-y+1/2,z+1/2'
loop_
_atom_site_label
_atom_site_type_symbol
_atom_site_fract_x
_atom_site_fract_y
_atom_site_fract_z
Ce1 Ce 0.0000 0.1273 0.0000
Ce2 Ce 0.0000 0.1307 0.4730
Pu1 Pu 0.0000 0.2322 0.7507
In1 In 0.0000 0.4953 0.2307
N1 N 0.0000 0.0780 0.7877
N2 N 0.0000 0.2729 0.1061
N3 N 0.0000 0.2787 0.3865
N4 N 0.0000 0.3712 0.8315
N5 N 0.0000 0.4813 0.5390
```